Entry 1:
For PrTlH8Rh2, a structure optimized by DFT (GGA-PBE) gives the theoretical XRD peak list in this record (a wavelength of 1.5418 Å).

Most intense lines, 2θ from 5° to 70°, sorted by position:
- 2θ 15.8, I 369, hkl 0 0 3
- 2θ 22.6, I 235, hkl 0 1 2
- 2θ 29.2, I 969, hkl 1 0 4
- 2θ 31.8, I 186, hkl 0 0 6
- 2θ 35.0, I 1000, hkl 1 1 0
- 2θ 38.6, I 225, hkl 2 -1 3
- 2θ 46.2, I 283, hkl 0 2 4
- 2θ 48.0, I 365, hkl 1 1 6
- 2θ 58.5, I 219, hkl 1 0 10
- 2θ 59.2, I 270, hkl 2 1 4

Structural model:
Cell lengths 5.1330, 5.1330, 16.8678 Å; angles 90.00, 90.00, 120.00 degrees
Space group R-3 (No. 148, hexagonal axes)
One atom of each set of equivalent atoms:
Pr 0.0000 0.0000 0.0000 (multiplicity 3)
Tl 0.0000 0.0000 0.5000 (multiplicity 3)
H 0.0000 0.0000 0.3051 (multiplicity 6)
H 0.0494 0.5224 0.5508 (multiplicity 18)
Rh 0.0000 0.0000 0.2052 (multiplicity 6)

***

Entry 2:
For PrPuBr2, a structure optimized by DFT (GGA-PBE) gives the theoretical XRD peak list in this record (a wavelength of 1.5418 Å).

Most intense lines, 2θ from 5° to 70°, sorted by position:
- 2θ 8.6, I 459, hkl 0 0 3
- 2θ 17.2, I 309, hkl 0 0 6
- 2θ 28.0, I 1000, hkl 0 1 2
- 2θ 29.7, I 279, hkl 1 0 4
- 2θ 31.0, I 272, hkl 0 1 5
- 2θ 34.8, I 203, hkl 0 0 12
- 2θ 36.0, I 477, hkl 0 1 8
- 2θ 40.2, I 600, hkl 1 0 10
- 2θ 48.3, I 355, hkl 1 1 0
- 2θ 60.9, I 245, hkl 1 1 12

Structural model:
Cell lengths 3.7662, 3.7662, 30.9250 Å; angles 90.00, 90.00, 120.00 degrees
Space group R-3m (No. 166, hexagonal axes)
One atom of each set of equivalent atoms:
Pr 0.0000 0.0000 0.0000 (multiplicity 3)
Pu 0.0000 0.0000 0.5000 (multiplicity 3)
Br 0.0000 0.0000 0.0983 (multiplicity 6)

***

Entry 3:
For TbPm3Cd4, a structure optimized by DFT (GGA-PBE) gives the theoretical XRD peak list in this record (a wavelength of 1.5418 Å).

Most intense lines, 2θ from 5° to 70°, sorted by position:
- 2θ 23.1, I 11, hkl 0 2 0
- 2θ 23.5, I 20, hkl 2 0 1
- 2θ 33.1, I 1000, hkl 2 2 1
- 2θ 33.4, I 490, hkl 4 0 0
- 2θ 41.0, I 10, hkl 4 2 0
- 2θ 47.2, I 92, hkl 0 4 0
- 2θ 48.0, I 175, hkl 4 0 2
- 2θ 59.0, I 185, hkl 4 4 0
- 2θ 59.5, I 362, hkl 6 2 1
- 2θ 69.5, I 112, hkl 4 4 2

Structural model:
Cell lengths 10.7268, 7.7079, 5.3647 Å; angles 90.00, 90.00, 90.00 degrees
Space group Pmma (No. 51)
One atom of each set of equivalent atoms:
Tb 0.0000 0.0000 0.0000 (multiplicity 2)
Pm 0.0000 0.5000 0.0000 (multiplicity 2)
Pm 0.2500 0.0000 0.4986 (multiplicity 2)
Pm 0.2500 0.5000 0.4985 (multiplicity 2)
Cd 0.0000 0.2453 0.5000 (multiplicity 4)
Cd 0.2500 0.2453 0.9983 (multiplicity 4)

***

Entry 4:
For Nd3BeIr2, a structure optimized by DFT (GGA-PBE) gives the theoretical XRD peak list in this record (a wavelength of 1.5418 Å).

Most intense lines, 2θ from 5° to 70°, sorted by position:
- 2θ 27.8, I 543, hkl 1 1 2
- 2θ 30.9, I 569, hkl 2 1 2
- 2θ 31.5, I 1000, hkl 0 1 3
- 2θ 32.0, I 753, hkl 4 0 1
- 2θ 32.5, I 784, hkl 1 1 3
- 2θ 33.1, I 816, hkl 3 1 1
- 2θ 40.6, I 477, hkl 2 0 5
- 2θ 41.4, I 720, hkl 4 1 2
- 2θ 44.4, I 534, hkl 3 0 5
- 2θ 45.1, I 611, hkl 0 2 0

Structural model:
Cell lengths 11.5138, 4.0209, 12.0261 Å; angles 90.00, 90.00, 90.00 degrees
Space group Pnma (No. 62)
One atom of each set of equivalent atoms:
Nd 0.0637 0.2500 0.1203 (multiplicity 4)
Nd 0.1250 0.7500 0.5556 (multiplicity 4)
Nd 0.2002 0.2500 0.8009 (multiplicity 4)
Be 0.1267 0.2500 0.3690 (multiplicity 4)
Ir 0.0388 0.7500 0.3219 (multiplicity 4)
Ir 0.1931 0.7500 0.9741 (multiplicity 4)

***

Entry 5:
For MgGa5Co3, a structure optimized by DFT (GGA-PBE) gives the theoretical XRD peak list in this record (a wavelength of 1.5418 Å).

Most intense lines, 2θ from 5° to 70°, sorted by position:
- 2θ 20.5, I 540, hkl 0 2 0
- 2θ 21.3, I 1000, hkl 2 0 0
- 2θ 29.7, I 626, hkl 2 2 0
- 2θ 40.7, I 723, hkl 1 1 3
- 2θ 40.9, I 694, hkl 3 1 -3
- 2θ 41.6, I 971, hkl 0 4 0
- 2θ 43.5, I 885, hkl 4 0 0
- 2θ 50.8, I 595, hkl 1 3 3
- 2θ 51.0, I 577, hkl 3 3 -3
- 2θ 61.7, I 553, hkl 4 4 0

Structural model:
Cell lengths 8.7509, 8.6818, 8.2025 Å; angles 90.00, 107.84, 90.00 degrees
Space group C2/m (No. 12)
One atom of each set of equivalent atoms:
Mg 0.2419 0.0000 0.2469 (multiplicity 4)
Ga 0.0000 0.2649 0.0000 (multiplicity 4)
Ga 0.0025 0.2671 0.3322 (multiplicity 8)
Ga 0.2364 0.0000 0.9104 (multiplicity 4)
Ga 0.2486 0.0000 0.5792 (multiplicity 4)
Co 0.0000 0.0000 0.0000 (multiplicity 2)
Co 0.0000 0.5000 0.5000 (multiplicity 2)
Co 0.0061 0.0000 0.6496 (multiplicity 4)
Co 0.0116 0.5000 0.1657 (multiplicity 4)

***

Entry 6:
For SbHPd2Rh, a structure optimized by DFT (GGA-PBE) gives the theoretical XRD peak list in this record (a wavelength of 1.5418 Å).

Most intense lines, 2θ from 5° to 70°, sorted by position:
- 2θ 38.3, I 1000, hkl 1 1 1
- 2θ 43.9, I 170, hkl 0 0 2
- 2θ 44.8, I 322, hkl 2 0 0
- 2θ 64.5, I 211, hkl 2 0 2
- 2θ 65.2, I 102, hkl 2 2 0

Structural model:
Cell lengths 4.0482, 4.0482, 4.1240 Å; angles 90.00, 90.00, 90.00 degrees
Space group P4/mmm (No. 123)
One atom of each set of equivalent atoms:
Sb 0.0000 0.0000 0.0000 (multiplicity 1)
H 0.5000 0.5000 0.5000 (multiplicity 1)
Pd 0.0000 0.5000 0.5000 (multiplicity 2)
Rh 0.5000 0.5000 0.0000 (multiplicity 1)